1.
Calculated powder X-ray diffraction pattern of MgMn2As2Pb2O18 for Cu Kα X-rays, from the GGA+U geometry in the Materials Project.

Top 10 peaks for 2θ from 10° to 90°, most intense first:
2θ/deg	Rel. int.
14.21	1000
17.74	865
24.34	554
24.52	507
26.15	487
25.95	442
32.08	438
32.92	387
38.69	359
51.33	326

Structural model:
Lattice parameters (Å, degrees): 5.1160 5.3149 12.9120 99.99 100.57 93.94
Fractional coordinates of all 25 atoms:
1 Mg 0.0000 0.0000 0.0000
2 Mn 0.4700 0.7251 0.4517
3 Mn 0.5300 0.2749 0.5483
4 As 0.1276 0.3864 0.7201
5 As 0.8724 0.6136 0.2799
6 Pb 0.3382 0.1520 0.2790
7 Pb 0.6618 0.8480 0.7210
8 O 0.0165 0.7993 0.2058
9 O 0.1511 0.5143 0.3612
10 O 0.1707 0.2235 0.1308
11 O 0.2873 0.0299 0.4372
12 O 0.3029 0.6734 0.7822
13 O 0.3358 0.7397 0.0308
14 O 0.3458 0.1848 0.6610
15 O 0.3705 0.5939 0.5682
16 O 0.4162 0.2189 0.9500
17 O 0.5838 0.7811 0.0500
18 O 0.6295 0.4061 0.4318
19 O 0.6542 0.8152 0.3390
20 O 0.6642 0.2603 0.9692
21 O 0.6971 0.3266 0.2178
22 O 0.7127 0.9701 0.5628
23 O 0.8293 0.7765 0.8692
24 O 0.8489 0.4857 0.6388
25 O 0.9835 0.2007 0.7942


2.
Calculated powder X-ray diffraction pattern of Li5Co3O8 for Cu Kα X-rays, from the GGA+U geometry in the Materials Project.

Top 10 peaks for 2θ from 10° to 90°, most intense first:
2θ/deg	Rel. int.
18.63	1000
43.34	578
35.83	293
64.41	283
45.20	243
18.21	112
37.83	112
36.89	107
57.38	98
63.07	80

Structural model:
Lattice parameters (Å, degrees): 4.9820 2.9479 9.7400 90.00 102.03 90.00
Fractional coordinates of all 16 atoms:
1 Li 0.0000 0.0000 0.0000
2 Li 0.2407 0.5000 0.2445
3 Li 0.2515 0.0000 0.7547
4 Li 0.7485 0.0000 0.2453
5 Li 0.7593 0.5000 0.7555
6 Co 0.0000 0.5000 0.5000
7 Co 0.5000 0.0000 0.5000
8 Co 0.5000 0.5000 0.0000
9 O 0.1325 0.0000 0.3813
10 O 0.1679 0.5000 0.8885
11 O 0.3676 0.5000 0.6159
12 O 0.3894 0.0000 0.1088
13 O 0.6106 0.0000 0.8912
14 O 0.6324 0.5000 0.3841
15 O 0.8321 0.5000 0.1115
16 O 0.8675 0.0000 0.6187


3.
Calculated powder X-ray diffraction pattern of MnP2O7 for Cu Kα X-rays, from the GGA+U geometry in the Materials Project.

Top 10 peaks for 2θ from 10° to 90°, most intense first:
2θ/deg	Rel. int.
10.71	1000
23.10	915
17.88	752
18.54	710
21.05	573
29.96	535
21.51	487
16.95	476
20.75	343
37.58	341

Structural model:
Lattice parameters (Å, degrees): 6.2733 9.3892 10.5927 64.82 80.22 73.72
Fractional coordinates of all 40 atoms:
1 Mn 0.0000 0.0000 0.0000
2 Mn 0.0904 0.3670 0.0276
3 Mn 0.3381 0.8663 0.5225
4 Mn 0.4285 0.2333 0.5501
5 P 0.0150 0.3369 0.7386
6 P 0.1248 0.9581 0.2404
7 P 0.3037 0.2752 0.3096
8 P 0.4135 0.8964 0.8115
9 P 0.6102 0.2657 0.0755
10 P 0.6356 0.5151 0.5653
11 P 0.7929 0.7181 0.9848
12 P 0.8183 0.9676 0.4746
13 O 0.0090 0.6087 0.9700
14 O 0.0221 0.8681 0.5628
15 O 0.0675 0.8354 0.1896
16 O 0.1053 0.3335 0.2253
17 O 0.1132 0.3882 0.8299
18 O 0.1477 0.0957 0.0873
19 O 0.1546 0.3594 0.6050
20 O 0.2740 0.8739 0.9451
21 O 0.2809 0.1375 0.4628
22 O 0.3154 0.8451 0.7201
23 O 0.3232 0.8997 0.3248
24 O 0.3610 0.3978 0.3605
25 O 0.4065 0.3652 0.9872
26 O 0.4195 0.6246 0.5801
27 O 0.4586 0.0662 0.7370
28 O 0.5156 0.2048 0.2372
29 O 0.5862 0.3418 0.6043
30 O 0.6415 0.7634 0.8612
31 O 0.6548 0.8643 0.4964
32 O 0.6662 0.6605 0.1271
33 O 0.7133 0.1016 0.0536
34 O 0.7152 0.1317 0.4964
35 O 0.7615 0.5819 0.4270
36 O 0.7737 0.3690 0.0536
37 O 0.7870 0.4698 0.6889
38 O 0.8423 0.8915 0.9457
39 O 0.9129 0.0284 0.3128
40 O 0.9700 0.1671 0.8131


4.
Calculated powder X-ray diffraction pattern of MgMn6O8F4 for Cu Kα X-rays, from the GGA+U geometry in the Materials Project.

Top 10 peaks for 2θ from 10° to 90°, most intense first:
2θ/deg	Rel. int.
22.87	1000
27.75	686
34.34	235
34.64	233
46.72	167
35.34	167
34.91	159
61.45	153
35.01	152
48.70	146

Structural model:
Lattice parameters (Å, degrees): 5.7845 6.0608 7.7101 106.87 97.04 114.14
Fractional coordinates of all 19 atoms:
1 Mg 0.0000 0.0000 0.0000
2 Mn 0.0175 0.0203 0.5083
3 Mn 0.0302 0.4886 0.9752
4 Mn 0.3447 0.5333 0.3425
5 Mn 0.3692 0.0237 0.8232
6 Mn 0.6335 0.0551 0.1936
7 Mn 0.6847 0.4944 0.6451
8 O 0.0460 0.7081 0.8274
9 O 0.1213 0.1589 0.7897
10 O 0.3208 0.3123 0.4917
11 O 0.3596 0.7239 0.1730
12 O 0.4068 0.1673 0.0840
13 O 0.6671 0.3186 0.8227
14 O 0.7170 0.6995 0.4863
15 O 0.9769 0.3149 0.1607
16 F 0.2759 0.8392 0.5502
17 F 0.6087 0.8575 0.8771
18 F 0.7896 0.2125 0.4755
19 F 0.8968 0.8781 0.2103


5.
Calculated powder X-ray diffraction pattern of Li9Mn2Co5O16 for Cu Kα X-rays, from the GGA+U geometry in the Materials Project.

Top 10 peaks for 2θ from 10° to 90°, most intense first:
2θ/deg	Rel. int.
18.33	1000
43.90	533
42.75	278
36.21	255
35.39	145
62.80	144
63.09	142
57.81	97
47.53	91
64.36	74

Structural model:
Lattice parameters (Å, degrees): 10.2726 2.8952 10.3302 90.00 110.43 90.00
Fractional coordinates of all 32 atoms:
1 Li 0.0000 0.0000 0.0000
2 Li 0.0013 0.0000 0.4883
3 Li 0.2560 0.5000 0.4872
4 Li 0.2682 0.5000 0.0124
5 Li 0.5080 0.5000 0.2451
6 Li 0.5133 0.0000 0.0180
7 Li 0.5247 0.0000 0.4841
8 Li 0.7545 0.5000 0.4894
9 Li 0.7631 0.5000 0.0096
10 Mn 0.2603 0.0000 0.7484
11 Mn 0.2660 0.0000 0.2450
12 Co 0.0042 0.5000 0.2487
13 Co 0.0080 0.5000 0.7488
14 Co 0.5118 0.5000 0.7474
15 Co 0.7432 0.0000 0.2549
16 Co 0.7586 0.0000 0.7481
17 O 0.1289 0.0000 0.8491
18 O 0.1367 0.0000 0.3585
19 O 0.1456 0.5000 0.1362
20 O 0.1527 0.5000 0.6343
21 O 0.3659 0.5000 0.8619
22 O 0.3712 0.0000 0.1322
23 O 0.3710 0.5000 0.3608
24 O 0.3867 0.0000 0.6458
25 O 0.6243 0.0000 0.8559
26 O 0.6427 0.5000 0.6298
27 O 0.6445 0.0000 0.3698
28 O 0.6437 0.5000 0.1283
29 O 0.8772 0.5000 0.8651
30 O 0.8853 0.5000 0.3647
31 O 0.8953 0.0000 0.1345
32 O 0.8979 0.0000 0.6405


6.
Calculated powder X-ray diffraction pattern of CeFeAsO for Cu Kα X-rays, from the GGA+U geometry in the Materials Project.

Top 10 peaks for 2θ from 10° to 90°, most intense first:
2θ/deg	Rel. int.
29.86	1000
45.44	354
55.32	349
37.56	328
51.81	241
31.70	225
33.25	215
37.38	153
66.22	125
46.15	113

Structural model:
Lattice parameters (Å, degrees): 3.9923 3.9923 9.0420 90.00 90.00 90.00
Fractional coordinates of all 8 atoms:
1 Ce 0.0000 0.0000 0.0000
2 Ce 0.5000 0.5000 0.2741
3 Fe 0.0000 0.5000 0.6442
4 Fe 0.5000 0.0000 0.6442
5 As 0.0000 0.0000 0.4574
6 As 0.5000 0.5000 0.8307
7 O 0.0000 0.5000 0.1385
8 O 0.5000 0.0000 0.1385


7.
Calculated powder X-ray diffraction pattern of NaFe9Si6B3H3O31 for Cu Kα X-rays, from the GGA+U geometry in the Materials Project.

Top 10 peaks for 2θ from 10° to 90°, most intense first:
2θ/deg	Rel. int.
33.50	1000
13.10	742
21.57	582
42.42	480
28.56	472
18.66	431
24.02	406
16.97	316
20.13	289
39.36	247

Structural model:
Lattice parameters (Å, degrees): 9.8501 9.8501 9.8501 113.51 113.51 113.51
Fractional coordinates of all 53 atoms:
1 Na 0.0000 0.0000 0.0000
2 Fe 0.1150 0.3448 0.6805
3 Fe 0.1150 0.6805 0.3448
4 Fe 0.3448 0.1150 0.6805
5 Fe 0.3448 0.6805 0.1150
6 Fe 0.3514 0.3514 0.5364
7 Fe 0.3514 0.5364 0.3514
8 Fe 0.5364 0.3514 0.3514
9 Fe 0.6805 0.1150 0.3448
10 Fe 0.6805 0.3448 0.1150
11 Si 0.5778 0.7629 0.9519
12 Si 0.5778 0.9519 0.7629
13 Si 0.7629 0.5778 0.9519
14 Si 0.7629 0.9519 0.5778
15 Si 0.9519 0.5778 0.7629
16 Si 0.9519 0.7629 0.5778
17 B 0.0080 0.3349 0.3349
18 B 0.3349 0.0080 0.3349
19 B 0.3349 0.3349 0.0080
20 H 0.0331 0.0331 0.4010
21 H 0.0331 0.4010 0.0331
22 H 0.4010 0.0331 0.0331
23 O 0.0300 0.7583 0.7583
24 O 0.1185 0.5608 0.8425
25 O 0.1185 0.8425 0.5608
26 O 0.1424 0.3247 0.3247
27 O 0.1560 0.1560 0.5345
28 O 0.1560 0.5345 0.1560
29 O 0.2681 0.4127 0.9427
30 O 0.2681 0.9427 0.4127
31 O 0.3247 0.1424 0.3247
32 O 0.3247 0.3247 0.1424
33 O 0.3689 0.5435 0.7432
34 O 0.3689 0.7432 0.5435
35 O 0.4127 0.2681 0.9427
36 O 0.4127 0.9427 0.2681
37 O 0.5345 0.1560 0.1560
38 O 0.5348 0.5348 0.5348
39 O 0.5435 0.3689 0.7432
40 O 0.5435 0.7432 0.3689
41 O 0.5608 0.1185 0.8425
42 O 0.5608 0.8425 0.1185
43 O 0.6517 0.9235 0.9235
44 O 0.7432 0.3689 0.5435
45 O 0.7432 0.5435 0.3689
46 O 0.7583 0.0300 0.7583
47 O 0.7583 0.7583 0.0300
48 O 0.8425 0.1185 0.5608
49 O 0.8425 0.5608 0.1185
50 O 0.9235 0.6517 0.9235
51 O 0.9235 0.9235 0.6517
52 O 0.9427 0.2681 0.4127
53 O 0.9427 0.4127 0.2681